Calculated powder diffraction line list of LiVBO3 for Cu Kα X-rays, from DFT lattice parameters and positions (GGA+U).
Peak positions follow from Bragg's law for the DFT cell and can differ from measured ones.

Peak list (6 most intense, 2θ from 10° to 80°, low angle first)
two_theta	I (rel.)	hkl
21.8	100	1 1 0
33.5	31	2 1 0
35.5	94	1 1 1
38.2	31	3 0 0
44.0	28	2 1 1
54.8	42	1 3 1

Atomic structure:
```
data_LiVBO3
_cell_length_a 8.1690
_cell_length_b 8.1690
_cell_length_c 3.2267
_cell_angle_alpha 90.00
_cell_angle_beta 90.00
_cell_angle_gamma 120.00
_space_group_name_H-M_alt 'P -6'
_space_group_IT_number 174
loop_
_space_group_symop_operation_xyz
'x,y,z'
'-x+y,-x,-z'
'-y,x-y,z'
'x,y,-z'
'-x+y,-x,z'
'-y,x-y,-z'
loop_
_atom_site_label
_atom_site_fract_x
_atom_site_fract_y
_atom_site_fract_z
Li1 0.0315 0.2937 0.0000
V1 0.3962 0.3738 0.5000
B1 0.0000 0.0000 0.5000
B2 0.3333 0.6667 0.0000
B3 0.6667 0.3333 0.0000
O1 0.0985 0.1970 0.5000
O2 0.1380 0.5796 0.0000
O3 0.4698 0.2374 0.0000
```